Diffraction record for Tb2PmPr2Nd. The X-ray powder pattern is computed, not measured: it uses the GGA-PBE geometry in Alexandria and λ = 1.5418 Å (Cu Kα).
Neutral-atom scattering factors, no anomalous dispersion.

Most intense lines, 10 to 90 degrees two-theta, most intense first:
2θ/deg, I/Imax, index
30.90, 100.0, 2 0 0
31.00, 54.6, 1 3 0
55.05, 39.2, 3 3 0
44.31, 26.9, 2 2 2
61.29, 23.4, 2 0 4
78.75, 11.4, 3 3 4
40.26, 9.9, 2 0 2
73.24, 8.1, 3 5 2
89.92, 7.8, 4 6 0
64.62, 6.6, 2 6 0
51.46, 6.6, 0 0 4
87.03, 6.0, 2 6 4

```
data_Tb2PmPr2Nd
_symmetry_space_group_name_H-M 'P m c 21'
_symmetry_Int_Tables_number 26
_symmetry_space_group_name_Hall 'P 2c -2'
_cell_length_a 5.780
_cell_length_b 9.987
_cell_length_c 7.103
_cell_angle_alpha 90.00
_cell_angle_beta 90.00
_cell_angle_gamma 90.00
loop_
_atom_site_label
_atom_site_type_symbol
_atom_site_fract_x
_atom_site_fract_y
_atom_site_fract_z
Tb1 Tb 0.000 0.166 0.000
Tb2 Tb 0.500 0.333 0.499
Pm1 Pm 0.500 0.000 0.250
Pr1 Pr 0.000 0.500 0.249
Pr2 Pr 0.500 0.331 0.999
Nd1 Nd 0.000 0.165 0.500
```

---

Diffraction record for Pm2Pr6NdTh. The X-ray powder pattern is computed, not measured: it uses the GGA-PBE geometry in Alexandria and λ = 1.5418 Å (Cu Kα).
Neutral-atom scattering factors, no anomalous dispersion.

Most intense lines, 10 to 90 degrees two-theta, most intense first:
2θ/deg, I/Imax, index
31.01, 100.0, 2 2 2
29.49, 74.2, 3 1 -1
30.90, 70.2, 1 5 0
27.99, 67.5, 1 3 2
29.24, 63.2, 0 2 3
30.75, 60.8, 2 4 -1
32.12, 51.8, 1 3 -3
31.69, 32.3, 1 5 -1
31.93, 25.9, 3 1 -2
26.57, 24.5, 2 2 -2
32.41, 23.1, 2 2 -3
35.97, 23.0, 1 1 -4

```
data_Pm2Pr6NdTh
_symmetry_space_group_name_H-M 'C 1 2/c 1'
_symmetry_Int_Tables_number 15
_symmetry_space_group_name_Hall '-C 2yc'
_cell_length_a 9.347
_cell_length_b 15.246
_cell_length_c 10.165
_cell_angle_alpha 90.00
_cell_angle_beta 100.38
_cell_angle_gamma 90.00
loop_
_atom_site_label
_atom_site_type_symbol
_atom_site_fract_x
_atom_site_fract_y
_atom_site_fract_z
Pm1 Pm 0.235 0.045 0.046
Pr1 Pr 0.072 0.180 0.445
Pr2 Pr 0.097 0.398 0.621
Pr3 Pr 0.203 0.218 0.813
Nd1 Nd 0.000 0.404 0.250
Th1 Th 0.000 0.019 0.750
```

---

Diffraction record for PmPr2Nd4Tl2. The X-ray powder pattern is computed, not measured: it uses the GGA-PBE geometry in Alexandria and λ = 1.5418 Å (Cu Kα).
Neutral-atom scattering factors, no anomalous dispersion.

Most intense lines, 10 to 90 degrees two-theta, most intense first:
2θ/deg, I/Imax, index
31.21, 100.0, -1 1 2
31.70, 59.6, 0 2 0
32.73, 55.3, 1 1 -2
33.25, 41.8, 2 0 1
32.97, 38.9, 1 1 3
27.87, 24.5, 2 1 0
11.42, 16.8, 0 0 1
43.71, 14.0, 1 3 3
48.94, 13.4, 1 -1 3
45.73, 12.3, 3 1 -1
15.70, 10.7, 0 1 0
48.84, 10.3, 3 2 3

```
data_PmPr2Nd4Tl2
_symmetry_space_group_name_H-M 'P -1'
_symmetry_Int_Tables_number 2
_symmetry_space_group_name_Hall '-P 1'
_cell_length_a 6.524
_cell_length_b 6.862
_cell_length_c 8.455
_cell_angle_alpha 66.43
_cell_angle_beta 79.41
_cell_angle_gamma 61.95
loop_
_atom_site_label
_atom_site_type_symbol
_atom_site_fract_x
_atom_site_fract_y
_atom_site_fract_z
Pm1 Pm 0.000 0.000 0.000
Pr1 Pr 0.180 0.519 0.820
Nd1 Nd 0.306 0.473 0.378
Nd2 Nd 0.403 0.022 0.227
Tl1 Tl 0.141 0.051 0.597
```

---

Diffraction record for Pm4Pr2NdTm. The X-ray powder pattern is computed, not measured: it uses the GGA-PBE geometry in Alexandria and λ = 1.5418 Å (Cu Kα).
Neutral-atom scattering factors, no anomalous dispersion.

Most intense lines, 10 to 90 degrees two-theta, most intense first:
2θ/deg, I/Imax, index
29.76, 100.0, 4 0 0
40.25, 87.7, 4 4 0
26.48, 44.9, 0 4 0
63.35, 22.3, 4 8 0
59.99, 17.5, 4 4 -4
52.76, 13.2, 4 0 -4
68.50, 12.2, 8 4 -4
60.13, 9.1, 8 4 -2
61.87, 8.4, 8 0 -4
79.31, 7.6, 4 8 -4
52.92, 6.7, 8 0 -2
87.02, 6.3, 8 8 -4

```
data_Pm4Pr2NdTm
_symmetry_space_group_name_H-M 'C 1 2/c 1'
_symmetry_Int_Tables_number 15
_symmetry_space_group_name_Hall '-C 2yc'
_cell_length_a 13.840
_cell_length_b 13.465
_cell_length_c 6.940
_cell_angle_alpha 90.00
_cell_angle_beta 119.91
_cell_angle_gamma 90.00
loop_
_atom_site_label
_atom_site_type_symbol
_atom_site_fract_x
_atom_site_fract_y
_atom_site_fract_z
Pm1 Pm 0.000 0.242 0.001
Pm2 Pm 0.244 0.000 0.478
Pr1 Pr 0.000 0.500 0.000
Pr2 Pr 0.250 0.250 0.000
Nd1 Nd 0.250 0.250 0.500
Tm1 Tm 0.000 0.000 0.000
```

---

Diffraction record for PmPr2NdTm. The X-ray powder pattern is computed, not measured: it uses the GGA-PBE geometry in Alexandria and λ = 1.5418 Å (Cu Kα).
Neutral-atom scattering factors, no anomalous dispersion.

Most intense lines, 10 to 90 degrees two-theta, most intense first:
2θ/deg, I/Imax, index
29.20, 100.0, 2 1 1
28.46, 93.6, 2 1 -1
28.72, 91.3, 1 2 0
31.96, 86.3, 3 0 0
28.33, 63.5, 0 0 2
33.52, 47.8, 1 1 2
32.28, 45.0, 1 2 1
32.86, 42.8, 1 1 -2
46.16, 42.1, 3 1 2
34.28, 39.6, 2 2 0
21.18, 39.5, 2 0 0
31.38, 38.8, 0 1 2

```
data_PmPr2NdTm
_symmetry_space_group_name_H-M 'P 1 2/c 1'
_symmetry_Int_Tables_number 13
_symmetry_space_group_name_Hall '-P 2yc'
_cell_length_a 8.396
_cell_length_b 6.693
_cell_length_c 6.305
_cell_angle_alpha 90.00
_cell_angle_beta 91.99
_cell_angle_gamma 90.00
loop_
_atom_site_label
_atom_site_type_symbol
_atom_site_fract_x
_atom_site_fract_y
_atom_site_fract_z
Pm1 Pm 0.000 0.071 0.250
Pr1 Pr 0.309 0.194 0.738
Nd1 Nd 0.000 0.500 0.000
Tm1 Tm 0.500 0.339 0.250
```

---

Diffraction record for PmPrNdTm. The X-ray powder pattern is computed, not measured: it uses the GGA-PBE geometry in Alexandria and λ = 1.5418 Å (Cu Kα).
Neutral-atom scattering factors, no anomalous dispersion.

Most intense lines, 10 to 90 degrees two-theta, most intense first:
2θ/deg, I/Imax, index
32.16, 100.0, 1 0 2
29.27, 38.6, 1 0 1
30.39, 33.3, 0 0 4
59.65, 29.5, 1 1 4
50.01, 25.2, 1 1 0
36.52, 21.7, 0 1 3
55.12, 21.7, 1 0 6
60.71, 16.3, 0 2 2
82.42, 13.8, 2 1 2
84.65, 10.8, 1 1 8
48.22, 9.5, 1 0 5
28.25, 9.4, 1 0 0

```
data_PmPrNdTm
_symmetry_space_group_name_H-M 'P 3 m 1'
_symmetry_Int_Tables_number 156
_symmetry_space_group_name_Hall 'P 3 -2"'
_cell_length_a 3.6479
_cell_length_b 3.6479
_cell_length_c 11.7669
_cell_angle_alpha 90.00
_cell_angle_beta 90.00
_cell_angle_gamma 120.00
loop_
_atom_site_label
_atom_site_type_symbol
_atom_site_fract_x
_atom_site_fract_y
_atom_site_fract_z
Pm1 Pm 0.0000 0.0000 0.0000
Pr1 Pr 0.6667 0.3333 0.5095
Nd1 Nd 0.3333 0.6667 0.2523
Tm1 Tm 0.3333 0.6667 0.7567
```

---

Diffraction record for PmPr2Nd2Y6. The X-ray powder pattern is computed, not measured: it uses the GGA-PBE geometry in Alexandria and λ = 1.5418 Å (Cu Kα).
Neutral-atom scattering factors, no anomalous dispersion.

Most intense lines, 10 to 90 degrees two-theta, most intense first:
2θ/deg, I/Imax, index
31.71, 100.0, 1 3 2
30.46, 63.6, 0 4 1
30.91, 41.9, 2 0 0
43.96, 20.1, 2 4 -1
55.48, 20.1, 3 3 2
33.67, 17.6, 0 0 4
61.36, 17.2, 1 7 3
62.09, 15.1, 2 4 5
46.36, 14.3, 2 0 4
52.40, 12.7, 0 4 5
78.74, 8.5, 3 7 -3
18.91, 8.3, 1 1 1

```
data_PmPr2Nd2Y6
_symmetry_space_group_name_H-M 'C 1 2/m 1'
_symmetry_Int_Tables_number 12
_symmetry_space_group_name_Hall '-C 2y'
_cell_length_a 5.786
_cell_length_b 12.207
_cell_length_c 10.646
_cell_angle_alpha 90.00
_cell_angle_beta 90.05
_cell_angle_gamma 90.00
loop_
_atom_site_label
_atom_site_type_symbol
_atom_site_fract_x
_atom_site_fract_y
_atom_site_fract_z
Pm1 Pm 0.000 0.000 0.000
Pr1 Pr 0.000 0.292 0.000
Nd1 Nd 0.000 0.369 0.500
Y1 Y 0.000 0.151 0.300
Y2 Y 0.000 0.500 0.206
```

---

Diffraction record for Pm4Pr2NdY2. The X-ray powder pattern is computed, not measured: it uses the GGA-PBE geometry in Alexandria and λ = 1.5418 Å (Cu Kα).
Neutral-atom scattering factors, no anomalous dispersion.

Most intense lines, 10 to 90 degrees two-theta, most intense first:
2θ/deg, I/Imax, index
31.13, 100.0, 3 1 -2
32.78, 89.8, 3 1 1
30.39, 49.8, 0 0 3
59.20, 44.6, 9 1 1
28.18, 40.4, 6 0 -1
49.50, 38.3, 0 2 0
56.59, 19.3, 3 1 4
84.27, 17.1, 9 1 4
59.63, 15.6, 12 0 -4
39.23, 15.3, 6 0 -4
53.37, 14.2, 3 1 -5
44.48, 12.6, 6 0 2

```
data_Pm4Pr2NdY2
_symmetry_space_group_name_H-M 'C 1 2/m 1'
_symmetry_Int_Tables_number 12
_symmetry_space_group_name_Hall '-C 2y'
_cell_length_a 19.119
_cell_length_b 3.687
_cell_length_c 9.795
_cell_angle_alpha 90.00
_cell_angle_beta 115.73
_cell_angle_gamma 90.00
loop_
_atom_site_label
_atom_site_type_symbol
_atom_site_fract_x
_atom_site_fract_y
_atom_site_fract_z
Pm1 Pm 0.019 0.000 0.336
Pm2 Pm 0.186 0.500 0.335
Pr1 Pr 0.167 0.000 0.000
Nd1 Nd 0.000 0.500 0.000
Y1 Y 0.148 0.500 0.666
```

---

Diffraction record for PmPrNd2Y. The X-ray powder pattern is computed, not measured: it uses the GGA-PBE geometry in Alexandria and λ = 1.5418 Å (Cu Kα).
Neutral-atom scattering factors, no anomalous dispersion.

Most intense lines, 10 to 90 degrees two-theta, most intense first:
2θ/deg, I/Imax, index
28.50, 100.0, 1 2 0
29.23, 52.5, 2 1 1
31.21, 36.6, 0 1 2
34.15, 33.5, 2 2 0
28.21, 32.6, 0 0 2
32.30, 32.0, 3 0 0
31.69, 26.0, 1 2 -1
33.37, 25.8, 1 1 2
32.75, 22.3, 1 1 -2
44.81, 22.1, 3 1 -2
37.41, 21.5, 3 1 -1
32.01, 20.8, 1 2 1

```
data_PmPrNd2Y
_symmetry_space_group_name_H-M 'P 1 2/c 1'
_symmetry_Int_Tables_number 13
_symmetry_space_group_name_Hall '-P 2yc'
_cell_length_a 8.319
_cell_length_b 6.772
_cell_length_c 6.330
_cell_angle_alpha 90.00
_cell_angle_beta 91.88
_cell_angle_gamma 90.00
loop_
_atom_site_label
_atom_site_type_symbol
_atom_site_fract_x
_atom_site_fract_y
_atom_site_fract_z
Pm1 Pm 0.000 0.074 0.250
Pr1 Pr 0.000 0.500 0.000
Nd1 Nd 0.307 0.192 0.739
Y1 Y 0.500 0.339 0.250
```

---

Diffraction record for Pm2Pr2NdY. The X-ray powder pattern is computed, not measured: it uses the GGA-PBE geometry in Alexandria and λ = 1.5418 Å (Cu Kα).
Neutral-atom scattering factors, no anomalous dispersion.

Most intense lines, 10 to 90 degrees two-theta, most intense first:
2θ/deg, I/Imax, index
30.91, 100.0, 0 2 0
30.70, 84.4, 2 0 2
54.84, 32.5, 2 1 5
44.12, 31.0, 2 2 2
60.88, 28.7, 4 2 0
40.08, 18.1, 2 2 0
78.31, 13.7, 4 3 3
54.94, 13.1, 0 3 3
89.61, 12.3, 0 5 3
24.88, 10.5, 2 0 0
73.00, 9.2, 2 4 2
51.04, 8.2, 4 0 0

```
data_Pm2Pr2NdY
_symmetry_space_group_name_H-M 'P m m a'
_symmetry_Int_Tables_number 51
_symmetry_space_group_name_Hall '-P 2a 2a'
_cell_length_a 7.157
_cell_length_b 5.793
_cell_length_c 10.009
_cell_angle_alpha 90.00
_cell_angle_beta 90.00
_cell_angle_gamma 90.00
loop_
_atom_site_label
_atom_site_type_symbol
_atom_site_fract_x
_atom_site_fract_y
_atom_site_fract_z
Pm1 Pm 0.250 0.000 0.166
Pm2 Pm 0.250 0.500 0.667
Pr1 Pr 0.000 0.500 0.000
Pr2 Pr 0.250 0.000 0.827
Nd1 Nd 0.250 0.500 0.338
Y1 Y 0.000 0.000 0.500
```

---

Diffraction record for Pm2Nd3Pt2. The X-ray powder pattern is computed, not measured: it uses the GGA-PBE geometry in Alexandria and λ = 1.5418 Å (Cu Kα).
Neutral-atom scattering factors, no anomalous dispersion.

Most intense lines, 10 to 90 degrees two-theta, most intense first:
2θ/deg, I/Imax, index
31.39, 100.0, 2 0 2
33.39, 55.2, 3 1 -2
32.97, 49.0, 3 1 0
29.97, 43.4, 1 1 -2
37.56, 36.4, 1 1 -3
34.50, 36.0, 1 1 2
34.11, 27.6, 4 0 -3
46.61, 26.8, 0 2 0
57.28, 22.4, 2 2 2
14.65, 20.9, 2 0 -1
54.81, 14.9, 3 1 -5
80.69, 14.8, 1 1 -7

```
data_Pm2Nd3Pt2
_symmetry_space_group_name_H-M 'C 1 2/m 1'
_symmetry_Int_Tables_number 12
_symmetry_space_group_name_Hall '-C 2y'
_cell_length_a 12.553
_cell_length_b 3.897
_cell_length_c 9.278
_cell_angle_alpha 90.00
_cell_angle_beta 115.07
_cell_angle_gamma 90.00
loop_
_atom_site_label
_atom_site_type_symbol
_atom_site_fract_x
_atom_site_fract_y
_atom_site_fract_z
Pm1 Pm 0.165 0.000 0.312
Nd1 Nd 0.000 0.500 0.500
Nd2 Nd 0.115 0.500 0.933
Pt1 Pt 0.172 0.000 0.735
```

---

Diffraction record for PmNdPt. The X-ray powder pattern is computed, not measured: it uses the GGA-PBE geometry in Alexandria and λ = 1.5418 Å (Cu Kα).
Neutral-atom scattering factors, no anomalous dispersion.

Most intense lines, 10 to 90 degrees two-theta, most intense first:
2θ/deg, I/Imax, index
32.73, 100.0, 2 0 2
29.75, 87.7, 1 1 2
64.17, 47.9, 3 2 2
40.82, 44.1, 3 0 0
37.12, 40.7, 0 0 4
40.53, 40.2, 2 1 2
56.36, 34.6, 3 0 4
35.83, 30.1, 2 1 0
52.55, 20.2, 2 1 4
88.26, 14.5, 3 2 6
22.74, 10.7, 1 0 2
62.43, 10.7, 1 1 6

```
data_PmNdPt
_symmetry_space_group_name_H-M 'P -6 2 c'
_symmetry_Int_Tables_number 190
_symmetry_space_group_name_Hall 'P -6c -2c'
_cell_length_a 7.6569
_cell_length_b 7.6569
_cell_length_c 9.6870
_cell_angle_alpha 90.00
_cell_angle_beta 90.00
_cell_angle_gamma 120.00
loop_
_atom_site_label
_atom_site_type_symbol
_atom_site_fract_x
_atom_site_fract_y
_atom_site_fract_z
Pm1 Pm 0.0006 0.5939 0.2500
Nd1 Nd 0.0000 0.2630 0.0000
Pt1 Pt 0.0000 0.0000 0.2500
Pt2 Pt 0.3333 0.6667 0.0014
```

---

Diffraction record for PmNd2Si3Pt12. The X-ray powder pattern is computed, not measured: it uses the GGA-PBE geometry in Alexandria and λ = 1.5418 Å (Cu Kα).
Neutral-atom scattering factors, no anomalous dispersion.

Most intense lines, 10 to 90 degrees two-theta, most intense first:
2θ/deg, I/Imax, index
31.60, 100.0, 0 2 4
43.31, 57.5, 2 2 0
47.20, 39.0, 2 0 8
34.23, 31.5, 1 2 2
77.88, 17.5, 3 2 10
23.09, 17.2, 1 0 4
54.59, 15.5, 4 0 4
48.21, 14.8, 3 0 6
38.40, 13.5, 2 1 4
65.98, 11.3, 0 4 8
72.12, 9.7, 2 4 4
65.28, 9.3, 5 0 2

```
data_PmNd2Si3Pt12
_symmetry_space_group_name_H-M 'R -3 m'
_symmetry_Int_Tables_number 166
_symmetry_space_group_name_Hall '-R 3 2"'
_cell_length_a 8.3559
_cell_length_b 8.3559
_cell_length_c 18.1962
_cell_angle_alpha 90.00
_cell_angle_beta 90.00
_cell_angle_gamma 120.00
loop_
_atom_site_label
_atom_site_type_symbol
_atom_site_fract_x
_atom_site_fract_y
_atom_site_fract_z
Pm1 Pm 0.0000 0.0000 0.0000
Nd1 Nd 0.0000 0.0000 0.4030
Si1 Si 0.0000 0.5000 0.5000
Pt1 Pt 0.0343 0.5172 0.8654
Pt2 Pt 0.0379 0.5189 0.3705
```